[1]
The following is a calculated X-ray powder pattern of Sc4OsPt2. It was derived from a structure optimized by DFT (GGA-PBE), using Cu Ka.

Structural model:
a b c (Å): 4.633 4.633 6.378
angles (deg): 90.00 90.00 90.00
Atoms (fractional coordinates):
Sc1 0.000 0.500 0.248
Sc2 0.000 0.500 0.752
Sc3 0.500 0.000 0.248
Sc4 0.500 0.000 0.752
Os1 0.000 0.000 0.000
Pt1 0.000 0.000 0.500
Pt2 0.500 0.500 0.000

The 10 most intense peaks (2θ from 15° to 90°), sorted by position:
d (Å)	2theta	I/Imax
4.633	19.2	19
3.749	23.7	26
3.276	27.2	35
3.189	28.0	16
2.317	38.9	52
2.285	39.4	100
1.874	48.6	16
1.638	56.1	18
1.331	70.8	35
1.313	71.9	17

[2]
The following is a calculated X-ray powder pattern of Sr2LiAlGe2. It was derived from a structure optimized by DFT (GGA-PBE), using Cu Ka.

Structural model:
a b c (Å): 8.585 8.585 8.585
angles (deg): 136.60 63.09 136.55
Atoms (fractional coordinates):
Sr1 0.163 0.240 0.403
Sr2 0.337 0.740 0.077
Sr3 0.663 0.260 0.923
Sr4 0.837 0.760 0.597
Li1 0.250 0.250 0.000
Li2 0.750 0.750 0.000
Al1 0.250 0.750 0.500
Al2 0.750 0.250 0.500
Ge1 0.104 0.735 0.839
Ge2 0.396 0.235 0.631
Ge3 0.604 0.765 0.369
Ge4 0.896 0.265 0.161

The 10 most intense peaks (2θ from 15° to 90°), sorted by position:
d (Å)	2theta	I/Imax
3.658	24.3	33
3.176	28.1	100
2.836	31.5	83
2.398	37.5	74
2.246	40.2	56
1.914	47.5	21
1.761	51.9	39
1.694	54.1	32
1.352	69.5	29
1.324	71.2	21